For K2MnV2O7, the PBE+U geometry in Alexandria gives the theoretical powder XRD pattern in this record (Cu Ka).
No peak broadening, texture or thermal motion is included.

```
K2MnV2O7
1.0
8.7583 0.0000 0.0000
0.0000 8.7583 0.0000
0.0000 0.0000 5.6654
K Mn V O
4 2 4 14
Cartesian
1.4245 2.9546 0.0557 K
2.9546 7.3337 5.6097 K
5.8036 1.4245 5.6097 K
7.3337 5.8036 0.0557 K
0.0000 0.0000 2.8327 Mn
4.3791 4.3791 2.8327 Mn
1.2268 5.6059 3.1566 V
3.1523 1.2268 2.5088 V
5.6059 7.5314 2.5088 V
7.5314 3.1523 3.1566 V
0.0000 4.3791 3.7474 O
0.7709 7.1416 3.8376 O
1.2664 5.6455 1.4751 O
1.6167 0.7709 1.8278 O
2.7625 5.1500 3.8376 O
3.1127 1.2664 4.1904 O
3.6083 2.7625 1.8278 O
4.3791 0.0000 1.9180 O
5.1500 5.9958 1.8278 O
5.6455 7.4919 4.1904 O
5.9958 3.6083 3.8376 O
7.1416 7.9874 1.8278 O
7.4919 3.1127 1.4751 O
7.9874 1.6167 3.8376 O
```

Largest 10 diffraction maxima, by angle, 2θ from 10° to 90°:
2θ 15.6, I 31.7, hkl 0 0 1
2θ 21.3, I 13.5, hkl 1 1 1
2θ 22.7, I 13.1, hkl 2 1 0
2θ 25.7, I 19.6, hkl 2 0 1
2θ 27.7, I 100.0, hkl 2 1 1
2θ 32.3, I 26.7, hkl 3 1 0
2θ 45.8, I 25.9, hkl 3 1 2
2θ 46.4, I 9.1, hkl 4 2 0
2θ 57.1, I 8.1, hkl 2 2 3
2θ 59.1, I 13.3, hkl 5 2 1